(1)
Calculated powder XRD pattern
Compound: Li4B2O5
Radiation: Cu Kα X-rays
Structure: a DFT-relaxed cell (GGA-PBE, the Materials Project)

Structural model:
```
data_Li4B2O5
_cell_length_a 9.660
_cell_length_b 7.178
_cell_length_c 6.057
_cell_angle_alpha 90.00
_cell_angle_beta 108.83
_cell_angle_gamma 90.00
_symmetry_space_group_name_H-M 'C 1 2/c 1'
_symmetry_Int_Tables_number 15
loop_
_symmetry_equiv_pos_as_xyz
'x,y,z'
'-x,-y,-z'
'-x,y,-z+1/2'
'x,-y,z+1/2'
'x+1/2,y+1/2,z'
'-x+1/2,-y+1/2,-z'
'-x+1/2,y+1/2,-z+1/2'
'x+1/2,-y+1/2,z+1/2'
loop_
_atom_site_label
_atom_site_type_symbol
_atom_site_fract_x
_atom_site_fract_y
_atom_site_fract_z
_atom_site_occupancy
Li1 Li 0.131 0.197 0.265 1
Li2 Li 0.134 0.476 0.967 1
B1 B 0.096 0.151 0.659 1
O1 O 0.000 0.045 0.750 1
O2 O 0.036 0.299 0.519 1
O3 O 0.236 0.089 0.715 1
```

Peak list (8 most intense, 15 to 90 degrees two-theta, by intensity)
hkl 0 2 1, 2θ = 29.36°, d 3.042, rel. 100; hkl 1 1 2, 2θ = 37.93°, d 2.372, rel. 83; hkl 2 0 -2, 2θ = 31.02°, d 2.883, rel. 78; hkl 1 1 1, 2θ = 24.23°, d 3.673, rel. 78; hkl 1 1 0, 2θ = 15.70°, d 5.646, rel. 49; hkl 4 2 -2, 2θ = 49.26°, d 1.850, rel. 49; hkl 2 2 0, 2θ = 31.70°, d 2.823, rel. 32; hkl 2 0 0, 2θ = 19.42°, d 4.571, rel. 29

---

(2)
Calculated powder XRD pattern
Compound: NdCd3
Radiation: Cu Kα X-rays
Structure: a DFT-relaxed cell (GGA-PBE, the Materials Project)

Structural model:
```
data_NdCd3
_cell_length_a 6.7863
_cell_length_b 6.7863
_cell_length_c 5.0559
_cell_angle_alpha 90.00
_cell_angle_beta 90.00
_cell_angle_gamma 120.00
_symmetry_space_group_name_H-M 'P 63/m m c'
_symmetry_Int_Tables_number 194
_symmetry_space_group_name_Hall '-P 6c 2c'
loop_
_atom_site_label
_atom_site_type_symbol
_atom_site_fract_x
_atom_site_fract_y
_atom_site_fract_z
_atom_site_occupancy
Nd1 Nd 0.3333 0.6667 0.2500 1
Cd1 Cd 0.1607 0.3215 0.7500 1
```

Peak list (8 most intense, 15 to 90 degrees two-theta, by intensity)
hkl 2 0 1, 2θ = 35.33°, d 2.541, rel. 100; hkl 2 0 0, 2θ = 30.42°, d 2.939, rel. 25; hkl 0 0 2, 2θ = 35.51°, d 2.528, rel. 22; hkl 2 2 2, 2θ = 66.36°, d 1.409, rel. 20; hkl 2 2 0, 2θ = 54.05°, d 1.697, rel. 19; hkl 2 0 3, 2θ = 63.65°, d 1.462, rel. 17; hkl 4 0 1, 2θ = 66.24°, d 1.411, rel. 15; hkl 2 0 2, 2θ = 47.44°, d 1.916, rel. 14